(1)
Na2BeGeTe4: computed powder X-ray diffraction pattern (λ = 1.5418 Å (Cu Kα)), based on a GGA-PBE-relaxed structure.
Intensities are scaled so that the largest is 100.

Structural model:
```
Na2BeGeTe4
1.0
-3.5717 3.5717 4.9987
3.5717 -3.5717 4.9987
3.5717 3.5717 -4.9987
Na Be Ge Te
2 1 1 4
Cartesian
0.0000 0.0000 0.0000
0.0000 3.5717 2.4993
0.0000 0.0000 4.9987
3.5717 0.0000 2.4993
1.7438 -1.2947 3.8888
2.2770 1.8278 1.1099
1.8278 4.8663 -1.1099
1.2947 1.7438 6.1086
```

Peak list (10 most intense, 5 to 70 degrees two-theta, low angle first)
d [Å]  Rel. int.
5.812  26
3.572  18
3.553  100
3.043  28
2.526  19
2.306  17
2.058  20
2.048  27
1.943  18
1.703  9

(2)
Mg2Si: computed powder X-ray diffraction pattern (λ = 1.5418 Å (Cu Kα)), based on a GGA-PBE-relaxed structure.
Intensities are scaled so that the largest is 100.

Structural model:
```
Mg2Si
1.0
5.7153 0.0000 0.0000
-2.6603 5.7559 0.0000
-2.4122 -2.3645 7.4635
Mg Si
8 4
Cartesian
0.0000 0.0000 0.0000
-1.1457 -0.2850 2.8032
-2.3379 3.8849 5.5159
-0.9058 1.0443 5.7007
1.7026 -0.8456 2.8924
2.4991 1.8302 1.0208
1.0812 2.2616 3.7312
1.9574 0.6758 6.3702
-1.8402 2.3249 3.3087
-0.2981 2.4977 1.3824
0.2962 4.8046 0.4343
3.3425 -1.1811 5.0650
```

Peak list (10 most intense, 5 to 70 degrees two-theta, low angle first)
d [Å]  Rel. int.
2.744  87
2.726  47
2.577  67
2.504  100
2.488  35
2.355  39
2.345  70
2.222  86
2.045  44
1.968  42

(3)
Na2AlGeSe4: computed powder X-ray diffraction pattern (λ = 1.5418 Å (Cu Kα)), based on a GGA-PBE-relaxed structure.
Intensities are scaled so that the largest is 100.

Structural model:
```
Na2AlGeSe4
1.0
-3.3527 3.3527 5.0996
3.3527 -3.3527 5.0996
3.3527 3.3527 -5.0996
Na Al Ge Se
2 1 1 4
Cartesian
0.0000 0.0000 0.0000
0.0000 3.3527 2.5498
0.0000 0.0000 5.0996
3.3527 0.0000 2.5498
1.5998 -1.3255 3.8759
2.0273 1.7530 1.2237
1.7530 4.6782 -1.2237
1.3255 1.5998 6.3233
```

Peak list (10 most intense, 5 to 70 degrees two-theta, low angle first)
d [Å]  Rel. int.
5.603  24
3.472  100
3.353  7
2.877  13
2.371  25
2.249  11
2.030  36
1.958  27
1.830  11
1.600  10

(4)
PmScBi2: computed powder X-ray diffraction pattern (λ = 1.5418 Å (Cu Kα)), based on a GGA-PBE-relaxed structure.
Intensities are scaled so that the largest is 100.

Structural model:
```
PmScBi2
1.0
4.4201 0.0000 0.0000
0.0000 6.3100 0.0000
0.0000 0.0000 8.8283
Pm Sc Bi
2 2 4
Cartesian
1.1050 1.5775 1.1380
3.3150 4.7325 7.6902
1.1050 1.5775 5.5236
3.3150 4.7325 3.3047
1.1050 4.7325 1.2238
1.1050 4.7325 5.3633
3.3150 1.5775 3.4650
3.3150 1.5775 7.6045
```

Peak list (10 most intense, 5 to 70 degrees two-theta, low angle first)
d [Å]  Rel. int.
3.619  37
3.155  53
3.123  100
2.220  79
2.209  38
1.809  41
1.562  12
1.408  19
1.400  17
1.397  16

(5)
Mg2CuF: computed powder X-ray diffraction pattern (λ = 1.5418 Å (Cu Kα)), based on a GGA-PBE-relaxed structure.
Intensities are scaled so that the largest is 100.

Structural model:
```
Mg2CuF
1.0
0.0000 3.1798 3.1798
3.1798 0.0000 3.1798
3.1798 3.1798 0.0000
Mg Cu F
2 1 1
Cartesian
1.5899 1.5899 1.5899
4.7697 4.7697 4.7697
0.0000 0.0000 0.0000
3.1798 3.1798 3.1798
```

Peak list (8 most intense, 5 to 70 degrees two-theta, low angle first)
d [Å]  Rel. int.
3.672  31
3.180  10
2.248  100
1.917  16
1.836  2
1.590  15
1.459  6
1.422  2

(6)
Br2Cl5F2: computed powder X-ray diffraction pattern (λ = 1.5418 Å (Cu Kα)), based on a GGA-PBE-relaxed structure.
Intensities are scaled so that the largest is 100.

Structural model:
```
Br2Cl5F2
1.0
4.4621 0.0000 0.0000
-0.1040 5.8444 0.0000
-0.7054 -1.5044 10.2394
Br Cl F
2 5 2
Cartesian
0.0000 0.0000 0.0000
1.4951 4.8746 3.8396
0.0449 0.4949 2.6411
1.4098 3.8702 0.3751
1.2818 0.5455 6.0020
2.9833 3.4656 4.8452
3.4720 4.2026 8.0454
1.0845 1.4658 7.4236
2.4669 2.4918 0.6343
```

Peak list (10 most intense, 5 to 70 degrees two-theta, low angle first)
d [Å]  Rel. int.
5.782  57
5.120  19
4.192  28
3.580  43
3.449  100
3.412  40
2.768  19
2.435  16
2.291  19
2.049  26